Computed powder X-ray diffraction pattern of Li3VOF5 for CuKα, from a DFT-relaxed cell (GGA+U, Alexandria).

Top 12 peaks for 2θ = 5–70°, sorted by position:
h k l	d [Å]	2theta	intensity
0 1 1	4.345	20.4	97
1 0 -2	4.229	21.0	100
0 0 2	3.839	23.2	40
1 1 -1	3.652	24.4	71
0 2 1	2.492	36.0	21
1 0 -4	2.281	39.5	79
1 2 0	2.237	40.3	45
2 1 -1	2.191	41.2	34
1 2 1	1.997	45.4	22
2 2 -2	1.826	49.9	24
0 2 4	1.551	59.6	17
3 1 -1	1.486	62.5	21

Structural model:
Cell: 5.0665 5.2694 9.1789 Å, 90.00 123.23 90.00°
Space group Pc (No. 7)
Inequivalent atoms, fractional coordinates:
Li (0.0000, 0.2095, 0.0000) (multiplicity 2)
Li (0.2431, 0.2600, 0.7589) (multiplicity 2)
Li (0.4697, 0.2879, 0.4908) (multiplicity 2)
V (0.7336, 0.2429, 0.2681) (multiplicity 2)
O (0.4015, 0.3878, 0.2220) (multiplicity 2)
F (0.0405, 0.4794, 0.8629) (multiplicity 2)
F (0.1313, 0.0354, 0.3476) (multiplicity 2)
F (0.5460, 0.0993, 0.7038) (multiplicity 2)
F (0.6777, 0.3200, 0.0433) (multiplicity 2)
F (0.8664, 0.1627, 0.5118) (multiplicity 2)